# K2Tl6Hg
Simulated X-ray powder pattern, Cu Kα X-rays. Input: a cell relaxed with PBE.
Peak positions follow from Bragg's law for the DFT cell and can differ from measured ones.

Top 10 peaks for 10° ≤ 2θ ≤ 90°, low angle first:
- (1 0 0), 2θ 14.30, rel. 22
- (1 0 1), 2θ 19.07, rel. 28
- (1 1 1), 2θ 27.97, rel. 24
- (0 1 2), 2θ 29.14, rel. 21
- (2 0 1), 2θ 31.55, rel. 100
- (0 0 3), 2θ 38.29, rel. 16
- (0 2 2), 2θ 38.69, rel. 48
- (2 2 0), 2θ 51.07, rel. 24
- (2 0 4), 2θ 60.41, rel. 15
- (2 2 3), 2θ 65.59, rel. 19

Cell and atoms:
```
data_K2Tl6Hg
_symmetry_space_group_name_H-M 'P 1'
_symmetry_Int_Tables_number 1
_cell_length_a 7.153
_cell_length_b 7.153
_cell_length_c 7.053
_cell_angle_alpha 90.00
_cell_angle_beta 90.00
_cell_angle_gamma 120.00
loop_
_symmetry_equiv_pos_as_xyz
'x,y,z'
loop_
_atom_site_label
_atom_site_type_symbol
_atom_site_fract_x
_atom_site_fract_y
_atom_site_fract_z
K1 K 0.333 0.667 0.147
K2 K 0.667 0.333 0.853
Tl1 Tl 0.176 0.352 0.668
Tl2 Tl 0.176 0.824 0.668
Tl3 Tl 0.352 0.176 0.332
Tl4 Tl 0.648 0.824 0.668
Tl5 Tl 0.824 0.176 0.332
Tl6 Tl 0.824 0.648 0.332
Hg1 Hg 0.000 0.000 0.000
```